# 1
Simulated powder diffractogram of Dy2InHg for Cu Kα (λ = 1.5418 Å), from a cell relaxed with PBE.
No peak broadening, texture or thermal motion is included.

Peak list (6 most intense, 15° ≤ 2θ ≤ 90°, sorted by position)
- hkl 1 1 1, 2θ 20.51, rel. 36
- hkl 2 2 0, 2θ 33.80, rel. 1000
- hkl 4 0 0, 2θ 48.54, rel. 181
- hkl 4 2 2, 2θ 60.46, rel. 376
- hkl 4 4 0, 2θ 71.09, rel. 116
- hkl 6 2 0, 2θ 81.08, rel. 165

a = 7.5017 Å, b = 7.5017 Å, c = 7.5017 Å
α = 90.00°, β = 90.00°, γ = 90.00°
Space group Fm-3m (No. 225)
Inequivalent atoms, fractional coordinates:
Dy1 0.2500 0.2500 0.2500
In1 0.0000 0.0000 0.0000
Hg1 0.0000 0.0000 0.5000



# 2
Simulated powder diffractogram of Fe9B4Ir3 for Cu Kα (λ = 1.5418 Å), from a cell relaxed with PBE.
No peak broadening, texture or thermal motion is included.

Peak list (6 most intense, 15° ≤ 2θ ≤ 90°, sorted by position)
- hkl 1 1 0, 2θ 23.68, rel. 566
- hkl 1 2 1, 2θ 36.71, rel. 946
- hkl 1 1 -2, 2θ 40.96, rel. 758
- hkl 0 2 2, 2θ 42.21, rel. 819
- hkl 1 3 0, 2θ 44.06, rel. 680
- hkl 2 1 1, 2θ 45.81, rel. 1000

a = 4.4686 Å, b = 6.9448 Å, c = 5.4396 Å
α = 90.00°, β = 90.04°, γ = 90.00°
Space group Pm (No. 6)
Inequivalent atoms, fractional coordinates:
Fe1 0.0000 0.0000 0.0000
Fe2 0.0167 0.3055 0.2940
Fe3 0.2332 0.3062 0.7958
Fe4 0.5204 0.1846 0.1476
Fe5 0.7328 0.1885 0.6545
B1 0.2885 0.5000 0.0918
B2 0.4499 0.0000 0.8533
B3 0.7895 0.0000 0.3540
B4 0.9595 0.5000 0.5887
Ir1 0.2387 0.0000 0.5001
Ir2 0.5058 0.5000 0.4424
Ir3 0.7454 0.5000 0.9466



# 3
Simulated powder diffractogram of Mg2Cu2CO11 for Cu Kα (λ = 1.5418 Å), from a cell relaxed with PBE.
No peak broadening, texture or thermal motion is included.

Peak list (6 most intense, 15° ≤ 2θ ≤ 90°, sorted by position)
- hkl 2 0 0, 2θ 16.58, rel. 1000
- hkl 1 1 1, 2θ 17.42, rel. 658
- hkl 0 2 1, 2θ 20.36, rel. 549
- hkl 1 3 0, 2θ 25.63, rel. 532
- hkl 1 1 -2, 2θ 27.00, rel. 484
- hkl 2 2 3, 2θ 45.98, rel. 427

a = 10.7130 Å, b = 11.0280 Å, c = 7.1508 Å
α = 90.00°, β = 94.26°, γ = 90.00°
Space group C2/c (No. 15)
Inequivalent atoms, fractional coordinates:
Mg1 0.1687 0.1516 0.2924
Cu1 0.0552 0.3435 0.5387
C1 0.0000 0.0680 0.7500
O1 0.0000 0.1848 0.7500
O2 0.0278 0.2496 0.1581
O3 0.0882 0.4343 0.9075
O4 0.1057 0.0102 0.7676
O5 0.1499 0.3875 0.7656
O6 0.2218 0.3059 0.4513



# 4
Simulated powder diffractogram of Rb2NaAuCl6 for Cu Kα (λ = 1.5418 Å), from a cell relaxed with PBE.
No peak broadening, texture or thermal motion is included.

Peak list (6 most intense, 15° ≤ 2θ ≤ 90°, sorted by position)
- hkl 2 2 0, 2θ 23.85, rel. 1000
- hkl 3 1 1, 2θ 28.04, rel. 361
- hkl 4 0 0, 2θ 33.98, rel. 725
- hkl 4 2 2, 2θ 41.94, rel. 465
- hkl 4 4 0, 2θ 48.81, rel. 487
- hkl 6 4 2, 2θ 66.27, rel. 253

a = 10.5539 Å, b = 10.5539 Å, c = 10.5539 Å
α = 90.00°, β = 90.00°, γ = 90.00°
Space group Fm-3m (No. 225)
Inequivalent atoms, fractional coordinates:
Rb1 0.2500 0.2500 0.2500
Na1 0.0000 0.0000 0.0000
Au1 0.0000 0.0000 0.5000
Cl1 0.0000 0.0000 0.2613



# 5
Simulated powder diffractogram of Sm4PdO7 for Cu Kα (λ = 1.5418 Å), from a cell relaxed with PBE.
No peak broadening, texture or thermal motion is included.

Peak list (6 most intense, 15° ≤ 2θ ≤ 90°, sorted by position)
- hkl 1 -2 0, 2θ 29.66, rel. 1000
- hkl 2 1 0, 2θ 30.40, rel. 329
- hkl 2 0 2, 2θ 31.28, rel. 591
- hkl 0 1 -2, 2θ 32.03, rel. 382
- hkl 3 -1 0, 2θ 43.66, rel. 195
- hkl 1 1 4, 2θ 45.96, rel. 194

a = 6.8713 Å, b = 7.2130 Å, c = 7.9214 Å
α = 69.95°, β = 71.89°, γ = 83.94°
Space group P-1 (No. 2)
Inequivalent atoms, fractional coordinates:
Sm1 0.1428 0.3535 0.3572
Sm2 0.1659 0.3322 0.8782
Sm3 0.2795 0.8890 0.7109
Sm4 0.2905 0.8995 0.2253
Pd1 0.5000 0.5000 0.0000
Pd2 0.5000 0.5000 0.5000
O1 0.0278 0.2589 0.6766
O2 0.0690 0.1680 0.1974
O3 0.2020 0.5830 0.0072
O4 0.2305 0.6399 0.5867
O5 0.3426 0.0410 0.9019
O6 0.3526 0.0829 0.3989
O7 0.4437 0.5703 0.2429



# 6
Simulated powder diffractogram of Ba3GeO5 for Cu Kα (λ = 1.5418 Å), from a cell relaxed with PBE.
No peak broadening, texture or thermal motion is included.

Peak list (6 most intense, 15° ≤ 2θ ≤ 90°, sorted by position)
- hkl 0 2 1, 2θ 25.68, rel. 479
- hkl 0 0 9, 2θ 27.74, rel. 579
- hkl 0 2 4, 2θ 28.36, rel. 1000
- hkl 2 0 5, 2θ 29.86, rel. 828
- hkl 2 2 0, 2θ 44.93, rel. 525
- hkl 2 2 9, 2θ 53.62, rel. 477

a = 8.0707 Å, b = 8.0707 Å, c = 28.9459 Å
α = 90.00°, β = 90.00°, γ = 120.00°
Space group R3m (No. 160, hexagonal axes)
Inequivalent atoms, fractional coordinates:
Ba1 0.0204 0.5102 0.0000
Ba2 0.1711 0.3422 0.1076
Ba3 0.1720 0.3440 0.8851
Ge1 0.0000 0.0000 0.5604
Ge2 0.0000 0.0000 0.7764
Ge3 0.0000 0.0000 0.9946
O1 0.0000 0.0000 0.1525
O2 0.0000 0.0000 0.2757
O3 0.0000 0.0000 0.3928
O4 0.0000 0.0000 0.6227
O5 0.0000 0.0000 0.8377
O6 0.0000 0.0000 0.9332
O7 0.0916 0.5458 0.6810
O8 0.2117 0.4235 0.4239
O9 0.2129 0.4257 0.2062



# 7
Simulated powder diffractogram of Hf2Sc3Si4 for Cu Kα (λ = 1.5418 Å), from a cell relaxed with PBE.
No peak broadening, texture or thermal motion is included.

Peak list (6 most intense, 15° ≤ 2θ ≤ 90°, sorted by position)
- hkl 1 1 0, 2θ 17.49, rel. 651
- hkl 1 1 1, 2θ 18.79, rel. 876
- hkl 1 1 4, 2θ 32.74, rel. 617
- hkl 2 2 1, 2θ 36.10, rel. 1000
- hkl 1 1 5, 2θ 38.94, rel. 645
- hkl 3 1 2, 2θ 42.21, rel. 662

a = 7.1706 Å, b = 7.1706 Å, c = 12.9952 Å
α = 90.00°, β = 90.00°, γ = 90.00°
Space group P4_12_12 (No. 92)
Inequivalent atoms, fractional coordinates:
Hf1 0.0013 0.1425 0.1257
Sc1 0.0038 0.3461 0.5348
Sc2 0.1768 0.8232 0.2500
Si1 0.0519 0.6995 0.4364
Si2 0.1441 0.2088 0.3237



# 8
Simulated powder diffractogram of Rb2ZnS2O14 for Cu Kα (λ = 1.5418 Å), from a cell relaxed with PBE.
No peak broadening, texture or thermal motion is included.

Peak list (6 most intense, 15° ≤ 2θ ≤ 90°, sorted by position)
- hkl 1 1 1, 2θ 20.88, rel. 742
- hkl 0 3 1, 2θ 22.18, rel. 1000
- hkl 1 0 -2, 2θ 23.06, rel. 749
- hkl 1 3 1, 2θ 28.03, rel. 229
- hkl 2 1 -1, 2θ 30.88, rel. 644
- hkl 0 1 3, 2θ 31.73, rel. 307

a = 5.9947 Å, b = 13.5722 Å, c = 8.8137 Å
α = 90.00°, β = 101.11°, γ = 90.00°
Space group P2_1/c (No. 14)
Inequivalent atoms, fractional coordinates:
Rb1 0.1651 0.1525 0.3738
Zn1 0.5000 0.0000 0.0000
S1 0.2480 0.6392 0.8937
O1 0.0651 0.5342 0.4930
O2 0.0862 0.7222 0.8862
O3 0.1467 0.5572 0.7884
O4 0.2867 0.5940 0.0520
O5 0.3446 0.1335 0.9172
O6 0.4132 0.1239 0.0721
O7 0.4654 0.6703 0.8539